This entry pairs a crystal structure of Ce4Pb3 with its calculated XRD peak list. Radiation: copper Kα. Structure: a structure optimized by DFT (PBE).
No peak broadening, texture or thermal motion is included.

Most intense lines, 10° ≤ 2θ ≤ 80°, by angle:
22.6 deg, rel. 14.5, (2 1 1)
29.3 deg, rel. 100.0, (3 1 0)
34.9 deg, rel. 68.0, (3 2 1)
42.0 deg, rel. 21.0, (4 2 0)
44.1 deg, rel. 14.5, (3 3 2)
46.2 deg, rel. 13.1, (4 2 2)
48.2 deg, rel. 18.6, (4 3 1)
59.1 deg, rel. 31.5, (6 1 1)
62.5 deg, rel. 15.4, (5 4 1)
72.1 deg, rel. 20.0, (7 2 1)

```
data_Ce4Pb3
_chemical_formula_sum 'Ce16 Pb12'
_cell_length_a 9.631
_cell_length_b 9.631
_cell_length_c 9.631
_cell_angle_alpha 90.00
_cell_angle_beta 90.00
_cell_angle_gamma 90.00
_space_group_name_H-M_alt 'I -4 3 d'
_space_group_IT_number 220
_space_group_name_Hall 'I -4bd 2c 3'
loop_
_atom_site_label
_atom_site_type_symbol
_atom_site_fract_x
_atom_site_fract_y
_atom_site_fract_z
Ce1 Ce 0.074 0.074 0.074
Pb1 Pb 0.000 0.250 0.375
```


This entry pairs a crystal structure of Ta4Nb4Ir with its calculated XRD peak list. Radiation: copper Kα. Structure: a structure optimized by DFT (PBE).
No peak broadening, texture or thermal motion is included.

Most intense lines, 10° ≤ 2θ ≤ 80°, by angle:
13.9 deg, rel. 22.3, (0 1 0)
39.2 deg, rel. 50.1, (0 2 3)
39.4 deg, rel. 100.0, (1 2 1)
39.5 deg, rel. 50.1, (1 -2 0)
39.7 deg, rel. 97.6, (1 0 3)
56.4 deg, rel. 17.2, (0 4 1)
57.6 deg, rel. 16.9, (2 0 1)
71.5 deg, rel. 24.0, (1 -4 2)
71.8 deg, rel. 16.8, (2 2 4)
71.9 deg, rel. 16.7, (2 2 -1)

```
data_Ta4Nb4Ir
_chemical_formula_sum 'Ta4 Nb4 Ir1'
_cell_length_a 3.199
_cell_length_b 6.528
_cell_length_c 8.389
_cell_angle_alpha 78.42
_cell_angle_beta 79.02
_cell_angle_gamma 89.77
_space_group_name_H-M_alt 'P -1'
_space_group_IT_number 2
loop_
_space_group_symop_operation_xyz
'x,y,z'
'-x,-y,-z'
loop_
_atom_site_label
_atom_site_type_symbol
_atom_site_fract_x
_atom_site_fract_y
_atom_site_fract_z
Ta1 Ta 0.091 0.306 0.315
Ta2 Ta 0.303 0.905 0.894
Nb1 Nb 0.094 0.779 0.314
Nb2 Nb 0.298 0.398 0.903
Ir1 Ir 0.500 0.000 0.500
```


This entry pairs a crystal structure of NpPSe2 with its calculated XRD peak list. Radiation: copper Kα. Structure: a structure optimized by DFT (PBE).
No peak broadening, texture or thermal motion is included.

Most intense lines, 10° ≤ 2θ ≤ 80°, by angle:
10.2 deg, rel. 46.4, (0 0 3)
20.4 deg, rel. 21.8, (0 0 6)
29.0 deg, rel. 100.0, (1 0 1)
29.6 deg, rel. 78.5, (0 1 2)
30.8 deg, rel. 35.1, (0 0 9)
37.7 deg, rel. 22.0, (1 0 7)
40.1 deg, rel. 55.9, (0 1 8)
45.4 deg, rel. 44.4, (1 0 10)
51.0 deg, rel. 35.7, (1 1 0)
60.8 deg, rel. 31.3, (1 1 9)

```
data_NpPSe2
_chemical_formula_sum 'Np3 P3 Se6'
_cell_length_a 3.5803
_cell_length_b 3.5803
_cell_length_c 26.1155
_cell_angle_alpha 90.00
_cell_angle_beta 90.00
_cell_angle_gamma 120.00
_space_group_name_H-M_alt 'R -3 m'
_space_group_IT_number 166
_space_group_name_Hall '-R 3 2"'
loop_
_atom_site_label
_atom_site_type_symbol
_atom_site_fract_x
_atom_site_fract_y
_atom_site_fract_z
Np1 Np 0.0000 0.0000 0.0000
P1 P 0.0000 0.0000 0.5000
Se1 Se 0.0000 0.0000 0.1090
```


This entry pairs a crystal structure of KLaSn4O12 with its calculated XRD peak list. Radiation: copper Kα. Structure: a structure optimized by DFT (PBE).
No peak broadening, texture or thermal motion is included.

Most intense lines, 10° ≤ 2θ ≤ 80°, by angle:
18.8 deg, rel. 21.7, (1 1 1)
21.7 deg, rel. 31.5, (0 0 2)
21.8 deg, rel. 15.6, (0 2 0)
30.9 deg, rel. 100.0, (2 2 0)
44.1 deg, rel. 11.8, (4 0 0)
44.2 deg, rel. 12.5, (0 0 4)
44.3 deg, rel. 12.2, (0 4 0)
54.9 deg, rel. 29.2, (4 2 2)
55.0 deg, rel. 14.4, (2 4 2)
64.3 deg, rel. 14.1, (4 0 4)

```
data_KLaSn4O12
_chemical_formula_sum 'K2 La2 Sn8 O24'
_cell_length_a 8.209
_cell_length_b 8.172
_cell_length_c 8.190
_cell_angle_alpha 90.00
_cell_angle_beta 90.00
_cell_angle_gamma 90.00
_space_group_name_H-M_alt 'A m m 2'
_space_group_IT_number 38
loop_
_space_group_symop_operation_xyz
'x,y,z'
'-x,-y,z'
'-x,y,z'
'x,-y,z'
'x,y+1/2,z+1/2'
'-x,-y+1/2,z+1/2'
'-x,y+1/2,z+1/2'
'x,-y+1/2,z+1/2'
loop_
_atom_site_label
_atom_site_type_symbol
_atom_site_fract_x
_atom_site_fract_y
_atom_site_fract_z
K1 K 0.000 0.000 0.000
La1 La 0.500 0.000 0.522
Sn1 Sn 0.244 0.246 0.260
O1 O 0.000 0.230 0.255
O2 O 0.254 0.000 0.753
O3 O 0.278 0.236 0.510
O4 O 0.297 0.000 0.278
O5 O 0.500 0.220 0.747
```


Q: Which formula does entry 3 have?
A: NpPSe2